K2ScMoO6: theoretical powder diffractogram (Cu Kα), based on a crystal structure in Alexandria, relaxed with PBE+U.
Neutral-atom scattering factors, no anomalous dispersion.

Structure:
abc: 6.2360 6.2360 5.5215
angles: 90.00 90.00 120.00
Space group P-3m1 (No. 164)
Symmetry-distinct sites (fractional):
K 0.3333 0.6667 0.3692 x2
Sc 0.0000 0.0000 0.0000 x1
Mo 0.0000 0.0000 0.5000 x1
O 0.1395 0.2791 0.7230 x6

Top 10 peaks for 2θ = 10–90°, sorted by position:
hkl  2θ (°)  I_rel
0 0 1  16.1  28
1 0 0  16.4  100
1 1 0  28.6  51
1 1 1  33.0  19
1 0 2  36.6  21
0 2 1  37.1  20
1 1 2  43.8  19
0 2 2  47.1  25
2 1 2  56.0  21
2 2 0  59.3  11